ZrCdAsO5: theoretical X-ray powder pattern (Cu Kα (λ = 1.5418 Å)), based on a structure optimized by DFT (GGA-PBE).
Kinematic intensities with the Lorentz-polarization factor, no thermal factor.

Peak list (10 most intense, 2θ = 10–90°, low angle first)
2θ (°)  I_rel
24.31  84
26.02  100
32.60  31
33.18  28
33.29  73
35.37  18
36.45  18
45.01  26
50.72  27
53.52  24

Cell and atoms:
Cell: 5.884 5.884 8.060 Å, 108.89 108.89 96.50°
Sites, in units of the cell vectors:
Zr1 0.000 0.000 0.000
Zr2 0.000 0.000 0.500
Cd1 0.309 0.691 0.750
Cd2 0.691 0.309 0.250
As1 0.331 0.669 0.250
As2 0.669 0.331 0.750
O1 0.049 0.951 0.750
O2 0.206 0.721 0.446
O3 0.279 0.794 0.054
O4 0.284 0.343 0.140
O5 0.343 0.284 0.640
O6 0.657 0.716 0.360
O7 0.716 0.657 0.860
O8 0.721 0.206 0.946
O9 0.794 0.279 0.554
O10 0.951 0.049 0.250

---

Cd4AsP: theoretical X-ray powder pattern (Cu Kα (λ = 1.5418 Å)), based on a structure optimized by DFT (GGA-PBE).
Kinematic intensities with the Lorentz-polarization factor, no thermal factor.

Peak list (10 most intense, 2θ = 10–90°, low angle first)
2θ (°)  I_rel
19.98  19
28.40  21
29.22  100
31.84  34
38.51  28
40.60  19
42.96  16
48.54  34
50.80  14
54.46  14

Cell and atoms:
Cell: 7.565 7.565 7.565 Å, 108.05 108.05 112.36°
Sites, in units of the cell vectors:
Cd1 0.194 0.000 0.194
Cd2 0.237 0.536 0.299
Cd3 0.237 0.938 0.701
Cd4 0.286 0.487 0.799
Cd5 0.688 0.487 0.201
Cd6 0.750 0.056 0.306
Cd7 0.750 0.444 0.694
Cd8 0.806 0.000 0.806
As1 0.490 0.990 0.500
As2 0.740 0.740 0.000
P1 0.247 0.247 0.000
P2 0.997 0.497 0.500